(1)
Structure and simulated X-ray powder pattern of MgCr4O8 (the GGA+U geometry in Alexandria; Cu Ka).

Structure:
```
13
Lattice="7.128 -1.490 0.000 7.128 1.490 0.000 -6.134 0.000 7.086" Properties=species:S:1:pos:R:3 pbc="T T T"
Mg 0.000 0.000 0.000
Cr -4.090 0.000 4.968
Cr 0.404 0.000 4.493
Cr 5.039 0.000 2.568
Cr 5.423 0.000 7.015
O -0.957 0.000 3.136
O -2.759 0.000 6.469
O 5.837 0.000 0.695
O 1.943 0.000 6.000
O 3.905 0.000 4.112
O 6.701 0.000 5.570
O 8.590 0.000 3.801
O 11.143 0.000 1.754
```

Peak list (6 most intense, 10 to 90 degrees two-theta, sorted by position)
two_theta	I (rel.)
12.5	100
16.4	49
18.9	52
29.8	43
33.2	37
35.7	61


(2)
Structure and simulated X-ray powder pattern of Mg2Cr3O8 (the GGA+U geometry in Alexandria; Cu Ka).

Structure:
```
26
Lattice="5.871 0.000 0.000 -2.936 5.085 0.000 0.000 0.000 9.473" Properties=species:S:1:pos:R:3 pbc="T T T"
Mg 0.000 3.390 0.000
Mg 0.000 3.390 3.810
Mg 2.936 1.695 4.737
Mg 2.936 1.695 8.547
Cr 0.000 1.663 6.852
Cr -1.496 4.253 6.852
Cr 1.440 0.831 2.115
Cr 1.496 4.253 6.852
Cr 4.431 0.831 2.115
Cr 2.936 3.422 2.115
O 0.000 0.000 3.146
O 0.000 0.000 7.883
O -1.300 2.639 7.980
O 0.000 1.653 1.205
O -1.504 4.258 1.205
O 1.432 0.827 5.941
O 0.000 3.390 5.791
O 1.300 2.639 7.980
O 0.000 4.891 7.980
O 2.936 0.194 3.244
O 1.636 2.445 3.244
O 2.936 1.695 1.055
O 1.504 4.258 1.205
O 4.439 0.827 5.941
O 2.936 3.431 5.941
O 4.236 2.445 3.244
```

Peak list (6 most intense, 10 to 90 degrees two-theta, sorted by position)
two_theta	I (rel.)
18.7	100
36.0	43
36.6	56
45.8	43
61.0	44
63.4	39